Diffraction record for SmScS3. The powder diffraction line list is computed, not measured: it uses a DFT-relaxed cell (GGA-PBE, the Materials Project) and Cu Kα (weighted mean of Kα1 and Kα2).

Cell and atoms:
Unit cell a=7.1250 b=9.5721 c=6.4687 alpha=90.00 beta=90.00 gamma=90.00
Element x y z (fractional)
Sm  0.0992  0.2500  0.0397
Sm  0.4008  0.7500  0.5397
Sm  0.5992  0.2500  0.4603
Sm  0.9008  0.7500  0.9603
Sc  0.0000  0.0000  0.5000
Sc  0.0000  0.5000  0.5000
Sc  0.5000  0.0000  0.0000
Sc  0.5000  0.5000  0.0000
S  0.0425  0.7500  0.3637
S  0.1883  0.5665  0.8234
S  0.1883  0.9335  0.8234
S  0.3117  0.0665  0.3234
S  0.3117  0.4335  0.3234
S  0.4575  0.2500  0.8637
S  0.5425  0.7500  0.1363
S  0.6883  0.5665  0.6766
S  0.6883  0.9335  0.6766
S  0.8117  0.0665  0.1766
S  0.8117  0.4335  0.1766
S  0.9575  0.2500  0.6363

Main lines, in order of rising 2θ (10° ≤ 2θ ≤ 80°):
- (0 2 0), 2θ = 18.53°, rel. 49
- (1 1 1), 2θ = 20.74°, rel. 62
- (1 2 1), 2θ = 26.33°, rel. 100
- (1 1 2), 2θ = 31.79°, rel. 33
- (1 3 1), 2θ = 33.75°, rel. 40
- (0 4 0), 2θ = 37.58°, rel. 40
- (2 3 0), 2θ = 37.85°, rel. 30
- (2 1 2), 2θ = 38.76°, rel. 38
- (3 1 1), 2θ = 41.59°, rel. 41
- (1 2 3), 2θ = 48.01°, rel. 32